Starting from a DFT-relaxed cell (GGA-PBE, the Materials Project), the X-ray diffraction stick pattern of KZr6I14 was computed for Cu Ka.
Intensities are scaled so that the largest is 100.

Atomic structure:
```
KZr6I14
1.0
8.3833 -7.3494 0.0000
8.3833 7.3494 0.0000
0.0000 0.0000 13.4569
K Zr I
2 12 28
Direct
0.0000 0.0000 0.0000
0.5000 0.5000 0.5000
0.0511 0.1960 0.8746
0.1590 0.8410 0.8825
0.1960 0.0511 0.1254
0.3040 0.4489 0.6254
0.3410 0.6590 0.3825
0.4489 0.3040 0.3746
0.5511 0.6960 0.6254
0.6590 0.3410 0.6175
0.6960 0.5511 0.3746
0.8040 0.9489 0.8746
0.8410 0.1590 0.1175
0.9489 0.8040 0.1254
0.0350 0.2129 0.2509
0.0966 0.4034 0.7500
0.1173 0.6353 0.0085
0.1353 0.6173 0.5085
0.1583 0.8417 0.2630
0.2129 0.0350 0.7491
0.2500 0.2500 0.0000
0.2500 0.2500 0.5000
0.2871 0.4650 0.2491
0.3417 0.6583 0.7630
0.3647 0.8827 0.0085
0.3827 0.8647 0.5085
0.4034 0.0966 0.2500
0.4650 0.2871 0.7509
0.5350 0.7129 0.2491
0.5966 0.9034 0.7500
0.6173 0.1353 0.4915
0.6353 0.1173 0.9915
0.6583 0.3417 0.2370
0.7129 0.5350 0.7509
0.7500 0.7500 0.0000
0.7500 0.7500 0.5000
0.7871 0.9650 0.2509
0.8417 0.1583 0.7370
0.8647 0.3827 0.4915
0.8827 0.3647 0.9915
0.9034 0.5966 0.2500
0.9650 0.7871 0.7491
```

Largest 10 diffraction maxima, low angle first, 10 to 80 degrees two-theta:
| 2theta | I_rel |
| --- | --- |
| 10.4 | 62.1 |
| 25.3 | 30.9 |
| 26.5 | 33.4 |
| 27.7 | 78.5 |
| 27.9 | 100.0 |
| 31.5 | 32.2 |
| 31.7 | 80.5 |
| 41.7 | 33.2 |
| 42.8 | 56.1 |
| 43.2 | 29.6 |



Starting from a DFT-relaxed cell (GGA-PBE, the Materials Project), the X-ray diffraction stick pattern of LaI2 was computed for Cu Ka.
Intensities are scaled so that the largest is 100.

Atomic structure:
```
LaI2
1.0
3.9523 0.0000 0.0000
0.0000 3.9523 0.0000
0.0000 0.0000 14.9524
La I
2 4
Direct
0.0000 0.0000 0.0000
0.5000 0.5000 0.5000
0.0000 0.0000 0.3735
0.0000 0.0000 0.6265
0.5000 0.5000 0.1265
0.5000 0.5000 0.8735
```

Largest 10 diffraction maxima, low angle first, 10 to 80 degrees two-theta:
| 2theta | I_rel |
| --- | --- |
| 11.8 | 34.1 |
| 28.8 | 100.0 |
| 32.0 | 55.9 |
| 34.3 | 10.8 |
| 37.7 | 44.4 |
| 45.9 | 20.3 |
| 55.1 | 31.9 |
| 59.5 | 18.6 |
| 60.9 | 21.6 |
| 69.2 | 11.8 |



Starting from a DFT-relaxed cell (GGA-PBE, the Materials Project), the X-ray diffraction stick pattern of LaI was computed for Cu Ka.
Intensities are scaled so that the largest is 100.

Atomic structure:
```
LaI
1.0
3.9707 0.0000 0.0000
-1.9854 3.4388 0.0000
0.0000 0.0000 9.7502
La I
2 2
Direct
0.0000 0.0000 0.0000
0.0000 0.0000 0.5000
0.3333 0.6667 0.2500
0.6667 0.3333 0.7500
```

Largest 10 diffraction maxima, low angle first, 10 to 80 degrees two-theta:
| 2theta | I_rel |
| --- | --- |
| 25.9 | 11.7 |
| 27.5 | 43.6 |
| 31.8 | 100.0 |
| 36.9 | 19.3 |
| 38.1 | 18.1 |
| 45.7 | 36.6 |
| 56.8 | 19.1 |
| 60.1 | 27.6 |
| 63.3 | 13.7 |
| 75.7 | 16.2 |



Starting from a DFT-relaxed cell (GGA-PBE, the Materials Project), the X-ray diffraction stick pattern of NaLa6OsI12 was computed for Cu Ka.
Intensities are scaled so that the largest is 100.

Atomic structure:
```
NaLa6OsI12
1.0
8.1980 4.7331 3.7559
-8.1980 4.7331 3.7559
0.0000 -9.4663 3.7559
Na La Os I
1 6 1 12
Direct
0.0000 0.0000 0.0000
0.1904 0.4675 0.3954
0.3954 0.1904 0.4675
0.4675 0.3954 0.1904
0.5325 0.6046 0.8096
0.6046 0.8096 0.5325
0.8096 0.5325 0.6046
0.5000 0.5000 0.5000
0.0405 0.1198 0.3483
0.1198 0.3483 0.0405
0.1844 0.5753 0.7275
0.2725 0.8156 0.4247
0.3483 0.0405 0.1198
0.4247 0.2725 0.8156
0.5753 0.7275 0.1844
0.6517 0.9595 0.8802
0.7275 0.1844 0.5753
0.8156 0.4247 0.2725
0.8802 0.6517 0.9595
0.9595 0.8802 0.6517
```

Largest 10 diffraction maxima, low angle first, 10 to 80 degrees two-theta:
| 2theta | I_rel |
| --- | --- |
| 10.0 | 28.9 |
| 10.8 | 18.0 |
| 23.9 | 19.2 |
| 27.6 | 100.0 |
| 39.3 | 37.7 |
| 39.6 | 36.0 |
| 49.0 | 18.6 |
| 57.1 | 13.8 |
| 64.3 | 14.7 |
| 64.8 | 14.7 |



Starting from a DFT-relaxed cell (GGA-PBE, the Materials Project), the X-ray diffraction stick pattern of LaIO3 was computed for Cu Ka.
Intensities are scaled so that the largest is 100.

Atomic structure:
```
LaIO3
1.0
10.6418 -2.0560 0.0000
10.6418 2.0560 0.0000
-0.1737 0.0000 4.4815
La I O
2 2 6
Direct
0.1958 0.1958 0.2337
0.8042 0.8042 0.7663
0.4146 0.4146 0.3750
0.5854 0.5854 0.6250
0.0968 0.0968 0.5555
0.2442 0.2442 0.7430
0.3775 0.3775 0.9835
0.6225 0.6225 0.0165
0.7558 0.7558 0.2570
0.9032 0.9032 0.4445
```

Largest 10 diffraction maxima, low angle first, 10 to 80 degrees two-theta:
| 2theta | I_rel |
| --- | --- |
| 25.1 | 42.4 |
| 25.5 | 33.7 |
| 26.5 | 74.3 |
| 29.7 | 73.3 |
| 30.2 | 100.0 |
| 31.6 | 39.8 |
| 40.8 | 25.3 |
| 44.0 | 27.5 |
| 48.2 | 26.7 |
| 48.4 | 28.9 |



Starting from a DFT-relaxed cell (GGA-PBE, the Materials Project), the X-ray diffraction stick pattern of La2I6O19 was computed for Cu Ka.
Intensities are scaled so that the largest is 100.

Atomic structure:
```
La2I6O19
1.0
7.4445 0.0000 0.0000
0.0000 11.2577 0.0000
-6.9990 0.0000 10.9240
La I O
4 12 38
Direct
0.0000 0.0015 0.0000
0.0000 0.9985 0.5000
0.6052 0.4793 0.0987
0.6052 0.5207 0.5987
0.0000 0.3505 0.9999
0.0000 0.6494 0.4999
0.0717 0.3108 0.3715
0.0717 0.6892 0.8715
0.3338 0.3512 0.7421
0.3338 0.6488 0.2421
0.3501 0.0329 0.8678
0.3501 0.9671 0.3678
0.5465 0.1701 0.2089
0.5465 0.8299 0.7089
0.7679 0.1669 0.6813
0.7679 0.8331 0.1813
0.2183 0.0765 0.4119
0.2183 0.9235 0.9119
0.2910 0.0434 0.2265
0.2906 0.3716 0.0941
0.2906 0.6284 0.5941
0.2910 0.9566 0.7265
0.3135 0.3616 0.5166
0.3135 0.6384 0.0166
0.3594 0.1123 0.0551
0.3594 0.8877 0.5551
0.3815 0.3668 0.8951
0.3815 0.6332 0.3951
0.4526 0.2059 0.7545
0.4526 0.7941 0.2545
0.5571 0.4448 0.7679
0.5571 0.5552 0.2679
0.5678 0.3953 0.4160
0.5678 0.6047 0.9160
0.6269 0.0200 0.4637
0.6269 0.9800 0.9637
0.7049 0.2668 0.1705
0.7049 0.7332 0.6705
0.7323 0.0437 0.2684
0.7323 0.9563 0.7684
0.7939 0.3258 0.6632
0.7939 0.6742 0.1632
0.9277 0.4498 0.0847
0.9277 0.5502 0.5847
0.9339 0.4542 0.3290
0.9339 0.5458 0.8290
0.9368 0.1648 0.8487
0.9368 0.8352 0.3487
0.9490 0.2329 0.4426
0.9490 0.7671 0.9426
0.9821 0.1187 0.6604
0.9821 0.8813 0.1604
0.9843 0.2108 0.0660
0.9843 0.7892 0.5660
```

Largest 10 diffraction maxima, low angle first, 10 to 80 degrees two-theta:
| 2theta | I_rel |
| --- | --- |
| 19.8 | 47.4 |
| 22.0 | 60.9 |
| 22.7 | 20.9 |
| 23.9 | 34.2 |
| 26.0 | 22.3 |
| 26.2 | 59.9 |
| 26.8 | 60.5 |
| 27.7 | 77.5 |
| 28.0 | 51.2 |
| 28.8 | 100.0 |